1.
The following is a theoretical powder XRD pattern of La8Tm2Mg3. It was derived from a structure optimized by DFT (GGA-PBE), using Cu Kα (weighted mean of Kα1 and Kα2).

Peak list (12 most intense, 10° ≤ 2θ ≤ 90°, most intense first)
| 2theta | I_rel | (hkl) |
| --- | --- | --- |
| 32.93 | 100 | 2 4 1 |
| 31.45 | 32 | 0 0 2 |
| 22.38 | 29 | 2 0 1 |
| 32.26 | 27 | 4 0 0 |
| 56.94 | 21 | 2 4 3 |
| 45.68 | 20 | 4 0 2 |
| 57.96 | 15 | 6 4 1 |
| 23.84 | 14 | 0 4 0 |
| 19.61 | 13 | 0 2 1 |
| 19.94 | 11 | 2 2 0 |
| 76.33 | 10 | 6 4 3 |
| 11.86 | 9 | 0 2 0 |

Atomic structure:
```
data_La8Tm2Mg3
_chemical_formula_sum 'La16 Tm4 Mg6'
_symmetry_space_group_name_H-M 'C m m m'
_symmetry_Int_Tables_number 65
_symmetry_space_group_name_Hall '-C 2 2'
_cell_length_a 11.098
_cell_length_b 14.927
_cell_length_c 5.690
_cell_angle_alpha 90.00
_cell_angle_beta 90.00
_cell_angle_gamma 90.00
loop_
_atom_site_label
_atom_site_type_symbol
_atom_site_fract_x
_atom_site_fract_y
_atom_site_fract_z
La1 La 0.000 0.113 0.000
La2 La 0.000 0.360 0.000
La3 La 0.228 0.126 0.500
Tm1 Tm 0.000 0.271 0.500
Mg1 Mg 0.000 0.500 0.500
Mg2 Mg 0.232 0.500 0.000
```

=====

2.
The following is a theoretical powder XRD pattern of MgTlAsH12O10. It was derived from a structure optimized by DFT (GGA-PBE), using Cu Kα (weighted mean of Kα1 and Kα2).

Peak list (12 most intense, 10° ≤ 2θ ≤ 90°, most intense first)
| 2theta | I_rel | (hkl) |
| --- | --- | --- |
| 20.51 | 100 | 1 1 1 |
| 21.07 | 75 | 0 1 2 |
| 14.71 | 74 | 1 0 1 |
| 26.51 | 70 | 1 0 3 |
| 33.04 | 64 | 2 1 2 |
| 30.07 | 48 | 2 1 1 |
| 29.71 | 43 | 0 2 1 |
| 25.16 | 38 | 2 0 0 |
| 45.49 | 35 | 2 2 3 |
| 18.98 | 34 | 1 1 0 |
| 43.99 | 34 | 1 1 5 |
| 35.16 | 33 | 1 2 2 |

Atomic structure:
```
data_MgTlAsH12O10
_chemical_formula_sum 'Mg2 Tl2 As2 H24 O20'
_symmetry_space_group_name_H-M 'P m n 21'
_symmetry_Int_Tables_number 31
_symmetry_space_group_name_Hall 'P 2ac -2'
_cell_length_a 7.079
_cell_length_b 6.229
_cell_length_c 11.460
_cell_angle_alpha 90.00
_cell_angle_beta 90.00
_cell_angle_gamma 90.00
loop_
_atom_site_label
_atom_site_type_symbol
_atom_site_fract_x
_atom_site_fract_y
_atom_site_fract_z
Mg1 Mg 0.000 0.132 0.000
Tl1 Tl 0.000 0.117 0.345
As1 As 0.000 0.498 0.628
H1 H 0.000 0.686 0.966
H2 H 0.000 0.787 0.837
H3 H 0.114 0.514 0.115
H4 H 0.178 0.671 0.427
H5 H 0.182 0.880 0.647
H6 H 0.206 0.290 0.809
H7 H 0.242 0.880 0.133
O1 O 0.000 0.454 0.073
O2 O 0.000 0.526 0.478
O3 O 0.000 0.750 0.692
O4 O 0.000 0.823 0.923
O5 O 0.201 0.366 0.673
O6 O 0.203 0.034 0.123
O7 O 0.224 0.232 0.891
```